1.
Structure and theoretical X-ray powder pattern of PtI3 (a crystal structure in the Materials Project, relaxed with PBE; λ = 1.5418 Å (Cu Kα)).
No peak broadening, texture or thermal motion is included.

Atomic structure:
```
PtI3
1.0
3.547 -6.170 0.000
3.547 6.170 0.000
-2.672 0.000 13.298
Pt I
4 12
Direct
0.000 0.500 0.500
0.097 0.903 0.750
0.500 0.000 0.000
0.903 0.097 0.250
0.070 0.191 0.641
0.161 0.653 0.880
0.191 0.070 0.141
0.240 0.444 0.376
0.347 0.839 0.620
0.444 0.240 0.876
0.556 0.760 0.124
0.653 0.161 0.380
0.760 0.556 0.624
0.809 0.930 0.859
0.839 0.347 0.120
0.930 0.809 0.359
```

The 10 most intense peaks (2θ from 10° to 90°), most intense first:
30.70°, I = 100.0; 14.99°, I = 65.1; 31.29°, I = 48.0; 44.61°, I = 38.5; 44.19°, I = 32.0; 19.63°, I = 24.7; 14.62°, I = 20.4; 43.91°, I = 18.4; 15.83°, I = 17.8; 44.03°, I = 14.8

---

2.
Structure and theoretical X-ray powder pattern of GdCu4Au (a crystal structure in the Materials Project, relaxed with PBE; λ = 1.5418 Å (Cu Kα)).
No peak broadening, texture or thermal motion is included.

Atomic structure:
```
GdCu4Au
1.0
0.000 3.571 3.571
3.571 0.000 3.571
3.571 3.571 0.000
Gd Cu Au
1 4 1
Direct
0.000 0.000 0.000
0.376 0.376 0.376
0.376 0.376 0.872
0.376 0.872 0.376
0.872 0.376 0.376
0.750 0.750 0.750
```

The 10 most intense peaks (2θ from 10° to 90°), most intense first:
41.96°, I = 100.0; 35.56°, I = 65.1; 68.24°, I = 30.5; 63.86°, I = 24.1; 75.28°, I = 22.2; 21.55°, I = 15.6; 43.92°, I = 14.9; 86.12°, I = 11.0; 56.14°, I = 4.1; 79.39°, I = 3.6

---

3.
Structure and theoretical X-ray powder pattern of Ca3Re2N4 (a crystal structure in the Materials Project, relaxed with PBE; λ = 1.5418 Å (Cu Kα)).
No peak broadening, texture or thermal motion is included.

Atomic structure:
```
Ca3Re2N4
1.0
5.807 0.000 0.000
0.000 9.974 0.000
0.000 0.000 9.285
Ca Re N
12 8 16
Direct
0.122 0.160 0.083
0.122 0.340 0.417
0.250 0.000 0.403
0.250 0.500 0.097
0.378 0.660 0.417
0.378 0.840 0.083
0.622 0.160 0.917
0.622 0.340 0.583
0.750 0.000 0.597
0.750 0.500 0.903
0.878 0.660 0.583
0.878 0.840 0.917
0.121 0.250 0.750
0.250 0.000 0.736
0.250 0.500 0.764
0.379 0.750 0.750
0.621 0.250 0.250
0.750 0.000 0.264
0.750 0.500 0.236
0.879 0.750 0.250
0.006 0.581 0.346
0.006 0.919 0.154
0.110 0.649 0.869
0.110 0.851 0.631
0.390 0.149 0.631
0.390 0.351 0.869
0.494 0.081 0.154
0.494 0.419 0.346
0.506 0.581 0.654
0.506 0.919 0.846
0.610 0.649 0.131
0.610 0.851 0.369
0.890 0.149 0.369
0.890 0.351 0.131
0.994 0.081 0.846
0.994 0.419 0.654
```

The 10 most intense peaks (2θ from 10° to 90°), most intense first:
18.02°, I = 100.0; 19.12°, I = 61.7; 32.79°, I = 50.4; 40.56°, I = 31.9; 41.09°, I = 24.5; 20.11°, I = 23.7; 34.03°, I = 21.8; 51.62°, I = 21.4; 49.50°, I = 20.6; 32.11°, I = 18.6

---

4.
Structure and theoretical X-ray powder pattern of MgFeCu2SnS4 (a crystal structure in the Materials Project, relaxed with PBE; λ = 1.5418 Å (Cu Kα)).
No peak broadening, texture or thermal motion is included.

Atomic structure:
```
MgFeCu2SnS4
1.0
5.782 0.000 0.000
0.000 5.786 0.000
0.000 0.000 5.845
Mg Fe Cu Sn S
1 1 2 1 4
Direct
0.000 0.000 0.000
0.000 0.500 0.000
0.000 0.000 0.500
0.500 0.000 0.000
0.500 0.500 0.500
0.230 0.241 0.230
0.230 0.759 0.770
0.770 0.241 0.770
0.770 0.759 0.230
```

The 10 most intense peaks (2θ from 10° to 90°), most intense first:
26.60°, I = 100.0; 44.05°, I = 52.4; 52.42°, I = 28.6; 44.30°, I = 25.9; 81.36°, I = 15.8; 30.92°, I = 14.8; 51.99°, I = 14.6; 70.64°, I = 11.1; 21.61°, I = 9.9; 64.44°, I = 7.9